The following is a computed PXRD pattern of BaNaF4. It was derived from the GGA-PBE geometry in Alexandria, using Cu Kα, 1.54184 Å.
No peak broadening, texture or thermal motion is included.

Crystal structure
a = 14.938 Å, b = 6.534 Å, c = 4.100 Å
α = 90.00°, β = 97.33°, γ = 90.00°
Space group C2/m (No. 12)
Symmetry-distinct sites (fractional):
Ba: 0.162 0.000 0.190 [4 per cell]
Na: 0.082 0.500 0.292 [4 per cell]
F: 0.000 0.243 0.000 [4 per cell]
F: 0.113 0.253 0.681 [8 per cell]
F: 0.226 0.500 0.256 [4 per cell]

Largest 6 diffraction maxima, low angle first, 5 to 70 degrees two-theta:
14.8°, intensity 35; 22.6°, intensity 100; 25.9°, intensity 53; 29.9°, intensity 35; 36.4°, intensity 42; 38.3°, intensity 76